For Na2Al2Si3H4O12, DFT lattice parameters and positions (PBE) gives the theoretical powder XRD pattern in this record (Cu Ka).
Kinematic intensities with the Lorentz-polarization factor, no thermal factor.

Top 10 peaks for 10 to 90 degrees two-theta, low angle first:
2θ 10.63, intensity 23
2θ 15.14, intensity 100
2θ 15.55, intensity 26
2θ 16.03, intensity 30
2θ 17.79, intensity 26
2θ 21.30, intensity 53
2θ 25.17, intensity 29
2θ 25.61, intensity 36
2θ 30.01, intensity 21
2θ 30.35, intensity 28

Cell and atoms:
```
46
Lattice="7.461 0.000 0.000 -0.919 9.446 0.000 -0.049 -4.663 8.840" Properties=species:S:1:pos:R:3 pbc="T T T"
Na 0.000 0.000 0.000
Na -0.049 5.444 0.905
Na 1.453 -3.067 6.073
Na 3.833 1.506 0.398
Al 1.394 0.192 5.761
Al 3.013 5.429 1.832
Al 7.356 -1.551 3.478
Al 6.803 2.733 5.972
Si 1.773 -1.182 8.330
Si 1.486 8.288 1.769
Si 1.844 3.461 7.524
Si 4.544 0.087 3.677
Si 5.433 4.810 3.450
Si 6.311 2.080 2.381
H 0.236 1.820 2.831
H 0.308 1.618 5.216
H 2.064 2.024 7.663
H 3.086 3.723 5.742
H 4.469 7.119 1.706
H 4.558 4.725 6.388
H 5.320 6.721 0.072
H 7.182 2.371 0.055
O 0.807 -0.972 2.031
O 0.580 -2.361 8.495
O 0.804 -1.141 4.879
O 0.487 3.848 6.697
O 1.091 0.060 7.469
O 1.822 6.728 2.027
O 2.195 4.151 0.965
O 1.792 8.795 0.182
O 2.909 -1.994 7.574
O 2.811 1.096 5.153
O 3.362 -0.065 2.536
O 3.081 4.158 6.625
O 3.842 -0.020 5.191
O 3.832 4.866 3.323
O 4.363 6.355 1.095
O 5.260 1.575 3.576
O 5.668 -1.040 3.414
O 5.961 1.503 0.941
O 5.683 1.898 7.022
O 5.498 5.003 6.106
O 5.767 4.019 5.021
O 6.168 3.750 2.441
O 6.103 2.375 8.373
O 6.335 6.128 3.433
```

For CeSe2, DFT lattice parameters and positions (PBE) gives the theoretical powder XRD pattern in this record (Cu Ka).
Kinematic intensities with the Lorentz-polarization factor, no thermal factor.

Top 10 peaks for 10 to 90 degrees two-theta, low angle first:
2θ 22.34, intensity 53
2θ 25.85, intensity 1
2θ 36.88, intensity 100
2θ 43.54, intensity 27
2θ 53.14, intensity 17
2θ 58.34, intensity 11
2θ 66.44, intensity 35
2θ 71.05, intensity 8
2θ 78.48, intensity 11
2θ 82.84, intensity 8

Cell and atoms:
```
3
Lattice="0.000 3.447 3.447 3.447 0.000 3.447 3.447 3.447 0.000" Properties=species:S:1:pos:R:3 pbc="T T T"
Ce 0.000 0.000 0.000
Se 1.723 1.723 1.723
Se 5.170 5.170 5.170
```

For Ti3Sb, DFT lattice parameters and positions (PBE) gives the theoretical powder XRD pattern in this record (Cu Ka).
Kinematic intensities with the Lorentz-polarization factor, no thermal factor.

Top 10 peaks for 10 to 90 degrees two-theta, low angle first:
2θ 25.34, intensity 60
2θ 34.16, intensity 25
2θ 35.04, intensity 22
2θ 36.03, intensity 25
2θ 38.05, intensity 33
2θ 38.28, intensity 36
2θ 39.08, intensity 100
2θ 49.55, intensity 27
2θ 50.49, intensity 19
2θ 64.45, intensity 21

Cell and atoms:
```
16
Lattice="-5.288 5.288 2.625 5.288 -5.288 2.625 5.288 5.288 -2.625" Properties=species:S:1:pos:R:3 pbc="T T T"
Ti 8.286 0.800 0.000
Ti 0.800 2.291 0.000
Ti 0.000 0.000 1.313
Ti 5.288 0.000 1.313
Ti 6.088 2.998 0.000
Ti 2.998 4.489 0.000
Ti 2.291 0.800 2.625
Ti -0.800 2.291 2.625
Ti 0.000 5.288 1.313
Ti 0.000 0.000 3.938
Ti 4.489 2.998 2.625
Ti -2.998 4.489 2.625
Sb 3.567 1.722 0.000
Sb 3.567 -1.722 2.625
Sb 1.722 7.010 0.000
Sb 1.722 3.567 2.625
```